# Gd3Tl4Sn2Pb
Simulated powder diffractogram, Cu Kα. Input: a DFT-relaxed cell (PBE, OQMD).
No peak broadening, texture or thermal motion is included.

Crystal structure
```
Gd3Tl4Sn2Pb
1.0
2.330 -12.292 0.000
2.330 12.292 0.000
0.000 0.000 4.781
Gd Tl Sn Pb
3 4 2 1
Direct
0.000 0.000 0.000
0.189 0.811 0.000
0.811 0.189 0.000
0.101 0.899 0.500
0.293 0.707 0.500
0.707 0.293 0.500
0.899 0.101 0.500
0.402 0.598 0.000
0.598 0.402 0.000
0.500 0.500 0.500
```

Principal peaks in the range 2θ from 10° to 90°, most intense first:
2.761 Å, 2θ = 32.4°, I 1000
2.391 Å, 2θ = 37.6°, I 174
2.458 Å, 2θ = 36.5°, I 165
2.330 Å, 2θ = 38.6°, I 162
1.442 Å, 2θ = 64.7°, I 141
1.415 Å, 2θ = 66.0°, I 139